[1]
Theoretical powder X-ray diffraction pattern
Compound: VCrO4
Radiation: λ = 1.5418 Å (Cu Kα)
Structure: a DFT-relaxed cell (GGA+U, the Materials Project)
Intensities are scaled so that the largest is 1000.

Atomic structure:
Lattice parameters (Å, degrees): 9.988 9.027 6.951 90.00 107.26 90.00
Space group C2/m (No. 12)
Asymmetric unit:
V: 0.000 0.249 0.000
V: 0.226 0.000 0.602
Cr: 0.000 0.321 0.500
Cr: 0.202 0.500 0.857
O: 0.045 0.347 0.800
O: 0.135 0.159 0.528
O: 0.139 0.500 0.541
O: 0.145 0.147 0.111
O: 0.207 0.500 0.141

Most intense lines, 2θ from 10° to 80°, low angle first:
| Position (°2θ) | I/Imax | h k l |
| --- | --- | --- |
| 13.50 | 228 | 1 1 0 |
| 26.86 | 215 | 0 0 2 |
| 27.20 | 1000 | 2 2 0 |
| 27.53 | 254 | 1 1 -2 |
| 27.81 | 176 | 2 0 -2 |
| 29.04 | 160 | 3 1 -1 |
| 32.63 | 139 | 1 1 2 |
| 34.27 | 191 | 2 2 -2 |
| 41.31 | 227 | 3 3 0 |
| 52.75 | 138 | 2 0 -4 |
| 54.84 | 124 | 3 3 2 |
| 55.20 | 110 | 5 3 -1 |



[2]
Theoretical powder X-ray diffraction pattern
Compound: Li4Co3O7
Radiation: λ = 1.5418 Å (Cu Kα)
Structure: a DFT-relaxed cell (GGA+U, the Materials Project)
Intensities are scaled so that the largest is 1000.

Atomic structure:
Lattice parameters (Å, degrees): 28.908 2.948 5.917 90.00 96.41 90.00
Space group C2/m (No. 12)
Asymmetric unit:
Li: 0.000 0.000 0.000
Li: 0.000 0.000 0.500
Li: 0.070 0.500 0.289
Li: 0.141 0.000 0.572
Li: 0.215 0.500 0.858
Co: 0.068 0.500 0.775
Co: 0.140 0.000 0.073
Co: 0.214 0.500 0.354
O: 0.007 0.500 0.754
O: 0.071 0.000 0.553
O: 0.072 0.000 0.024
O: 0.136 0.500 0.834
O: 0.144 0.500 0.301
O: 0.212 0.000 0.119
O: 0.215 0.000 0.591

Most intense lines, 2θ from 10° to 80°, low angle first:
| Position (°2θ) | I/Imax | h k l |
| --- | --- | --- |
| 18.40 | 1000 | 4 0 -1 |
| 35.79 | 286 | 3 1 1 |
| 36.30 | 121 | 10 0 1 |
| 37.59 | 133 | 7 1 0 |
| 43.33 | 586 | 1 1 -2 |
| 44.14 | 255 | 14 0 0 |
| 47.79 | 85 | 11 1 -1 |
| 57.22 | 96 | 5 1 -3 |
| 62.82 | 76 | 2 0 -4 |
| 63.08 | 82 | 0 2 0 |
| 63.33 | 150 | 15 1 -2 |
| 63.80 | 141 | 13 1 2 |



[3]
Theoretical powder X-ray diffraction pattern
Compound: VCrSbO6
Radiation: λ = 1.5418 Å (Cu Kα)
Structure: a DFT-relaxed cell (GGA+U, the Materials Project)
Intensities are scaled so that the largest is 1000.

Atomic structure:
Lattice parameters (Å, degrees): 4.617 4.617 9.240 90.00 90.00 90.00
Space group P4_2nm (No. 102)
Asymmetric unit:
V: 0.000 0.000 0.000
Cr: 0.000 0.000 0.667
Sb: 0.000 0.000 0.333
O: 0.193 0.193 0.164
O: 0.193 0.193 0.836
O: 0.201 0.201 0.499

Most intense lines, 2θ from 10° to 80°, low angle first:
| Position (°2θ) | I/Imax | h k l |
| --- | --- | --- |
| 19.21 | 92 | 0 0 2 |
| 21.51 | 277 | 1 0 1 |
| 27.32 | 1000 | 1 1 0 |
| 33.61 | 98 | 1 1 2 |
| 35.02 | 667 | 1 0 3 |
| 39.01 | 166 | 2 0 0 |
| 53.42 | 651 | 2 1 3 |
| 56.36 | 186 | 2 2 0 |
| 60.09 | 101 | 0 0 6 |
| 63.74 | 118 | 3 1 0 |
| 67.22 | 161 | 1 1 6 |
| 68.10 | 227 | 3 0 3 |



[4]
Theoretical powder X-ray diffraction pattern
Compound: Co3H18C8N6O8
Radiation: λ = 1.5418 Å (Cu Kα)
Structure: a DFT-relaxed cell (GGA+U, the Materials Project)
Intensities are scaled so that the largest is 1000.

Atomic structure:
Lattice parameters (Å, degrees): 8.465 8.524 8.553 70.18 69.97 70.47
Space group P-1 (No. 2)
Asymmetric unit:
Co: 0.000 0.000 0.000
Co: 0.376 0.376 0.376
H: 0.050 0.712 0.883
H: 0.072 0.095 0.638
H: 0.094 0.638 0.071
H: 0.100 0.762 0.293
H: 0.118 0.949 0.287
H: 0.239 0.707 0.899
H: 0.288 0.118 0.948
H: 0.293 0.101 0.762
H: 0.362 0.930 0.905
C: 0.232 0.438 0.558
C: 0.284 0.284 0.285
C: 0.439 0.558 0.233
C: 0.442 0.767 0.561
N: 0.041 0.891 0.267
N: 0.109 0.733 0.959
N: 0.267 0.042 0.891
O: 0.141 0.480 0.684
O: 0.223 0.223 0.223
O: 0.316 0.860 0.520
O: 0.480 0.684 0.140

Most intense lines, 2θ from 10° to 80°, low angle first:
| Position (°2θ) | I/Imax | h k l |
| --- | --- | --- |
| 13.92 | 695 | 1 1 1 |
| 18.09 | 1000 | 1 -1 0 |
| 18.18 | 492 | 1 0 -1 |
| 22.84 | 424 | 0 1 2 |
| 22.95 | 521 | 2 0 1 |
| 25.53 | 341 | 2 1 2 |
| 25.68 | 168 | 2 2 1 |
| 28.04 | 199 | 2 2 2 |
| 29.35 | 164 | 2 -1 1 |
| 29.41 | 269 | 1 2 -1 |
| 31.53 | 202 | 1 -2 1 |
| 31.71 | 350 | 1 1 -2 |



[5]
Theoretical powder X-ray diffraction pattern
Compound: LiV2O4
Radiation: λ = 1.5418 Å (Cu Kα)
Structure: a DFT-relaxed cell (GGA+U, the Materials Project)
Intensities are scaled so that the largest is 1000.

Atomic structure:
Lattice parameters (Å, degrees): 5.961 5.962 5.971 91.09 119.56 119.00
Space group P-1 (No. 2)
Asymmetric unit:
Li: 0.250 0.125 0.376
V: 0.000 0.500 0.000
V: 0.000 0.500 0.500
V: 0.500 0.000 0.000
V: 0.500 0.500 0.000
O: 0.020 0.729 0.750
O: 0.030 0.286 0.756
O: 0.470 0.728 0.756
O: 0.481 0.729 0.210

Most intense lines, 2θ from 10° to 80°, low angle first:
| Position (°2θ) | I/Imax | h k l |
| --- | --- | --- |
| 18.12 | 1000 | 1 0 -1 |
| 18.22 | 288 | 1 -1 0 |
| 34.90 | 197 | 2 0 -1 |
| 35.03 | 150 | 2 -1 0 |
| 35.48 | 134 | -1 1 2 |
| 42.41 | 514 | 2 0 0 |
| 43.31 | 235 | -2 2 2 |
| 61.27 | 76 | 2 2 -2 |
| 61.79 | 78 | 2 -2 2 |
| 62.07 | 73 | 0 2 2 |
| 62.20 | 73 | 2 0 -4 |
| 62.31 | 144 | 2 -4 0 |



[6]
Theoretical powder X-ray diffraction pattern
Compound: BaYMgCoCuO5
Radiation: λ = 1.5418 Å (Cu Kα)
Structure: a DFT-relaxed cell (GGA+U, the Materials Project)
Intensities are scaled so that the largest is 1000.

Atomic structure:
Lattice parameters (Å, degrees): 3.917 3.917 10.806 90.00 90.00 90.00
Space group P4mm (No. 99)
Asymmetric unit:
Ba: 0.000 0.000 0.000
Y: 0.000 0.000 0.654
Mg: 0.000 0.000 0.383
Co: 0.500 0.500 0.807
Cu: 0.500 0.500 0.467
O: 0.000 0.500 0.462
O: 0.000 0.500 0.756
O: 0.500 0.500 0.999

Most intense lines, 2θ from 10° to 80°, low angle first:
| Position (°2θ) | I/Imax | h k l |
| --- | --- | --- |
| 16.41 | 239 | 0 0 2 |
| 24.17 | 165 | 1 0 1 |
| 24.72 | 142 | 0 0 3 |
| 28.14 | 303 | 1 0 2 |
| 32.32 | 538 | 1 1 0 |
| 33.81 | 1000 | 1 0 3 |
| 36.45 | 139 | 1 1 2 |
| 41.11 | 142 | 1 1 3 |
| 46.36 | 368 | 2 0 0 |
| 53.80 | 131 | 1 1 5 |
| 58.60 | 397 | 2 1 3 |
| 61.41 | 148 | 1 1 6 |



[7]
Theoretical powder X-ray diffraction pattern
Compound: V3OF11
Radiation: λ = 1.5418 Å (Cu Kα)
Structure: a DFT-relaxed cell (GGA+U, the Materials Project)
Intensities are scaled so that the largest is 1000.

Atomic structure:
Lattice parameters (Å, degrees): 5.257 5.461 14.752 100.28 90.03 90.23
Space group P1 (No. 1)
Asymmetric unit:
V: 0.000 0.000 0.000
V: 0.000 0.333 0.667
V: 0.476 0.207 0.337
V: 0.483 0.530 0.004
V: 0.483 0.863 0.671
V: 0.975 0.707 0.336
O: 0.180 0.082 0.647
O: 0.180 0.749 0.981
F: 0.047 0.435 0.786
F: 0.048 0.102 0.119
F: 0.062 0.749 0.454
F: 0.172 0.396 0.312
F: 0.266 0.231 0.979
F: 0.266 0.564 0.645
F: 0.279 0.896 0.312
F: 0.386 0.923 0.787
F: 0.387 0.250 0.454
F: 0.387 0.591 0.121
F: 0.550 0.503 0.885
F: 0.552 0.836 0.552
F: 0.561 0.165 0.219
F: 0.672 0.519 0.361
F: 0.688 0.177 0.694
F: 0.688 0.845 0.027
F: 0.768 0.348 0.027
F: 0.768 0.681 0.694
F: 0.778 0.019 0.362
F: 0.881 0.343 0.555
F: 0.882 0.012 0.888
F: 0.888 0.670 0.219

Most intense lines, 2θ from 10° to 80°, low angle first:
| Position (°2θ) | I/Imax | h k l |
| --- | --- | --- |
| 18.34 | 1000 | 0 0 3 |
| 25.21 | 926 | -1 1 1 |
| 25.29 | 897 | 1 1 1 |
| 32.80 | 171 | 0 2 -1 |
| 37.17 | 163 | 0 0 6 |
| 39.18 | 200 | 2 -1 2 |
| 41.07 | 134 | 1 0 -6 |
| 47.94 | 143 | 2 -2 1 |
| 48.15 | 158 | 2 2 -1 |
| 51.86 | 105 | 2 -2 4 |
| 53.25 | 177 | 1 -1 8 |
| 54.16 | 112 | 1 3 0 |